[1]
Diffraction record for Cs2Se. The X-ray powder pattern is simulated, not measured: it uses a GGA-PBE-relaxed structure and copper Kα.

Cell and atoms:
a b c (Å): 5.762 10.088 10.252
angles (deg): 90.00 90.00 90.00
Space group Cmc2_1 (No. 36)
Inequivalent atoms, fractional coordinates:
Cs (0.000, 0.003, 0.000)
Cs (0.000, 0.332, 0.764)
Se (0.000, 0.336, 0.135)

Principal peaks in the range 2θ = 10–80°, sorted by position:
2θ = 19.7°, rel. 31, (1 1 1); 2θ = 24.8°, rel. 51, (0 2 2); 2θ = 24.9°, rel. 100, (1 1 2); 2θ = 30.8°, rel. 83, (1 3 0); 2θ = 31.0°, rel. 41, (2 0 0); 2θ = 31.7°, rel. 58, (0 2 3); 2θ = 40.1°, rel. 28, (2 2 2); 2θ = 44.9°, rel. 15, (2 2 3); 2θ = 47.9°, rel. 17, (1 1 5); 2θ = 55.1°, rel. 16, (3 3 0)

=====

[2]
Diffraction record for TaTeH. The X-ray powder pattern is simulated, not measured: it uses a GGA-PBE-relaxed structure and copper Kα.

Cell and atoms:
a b c (Å): 7.463 7.463 3.586
angles (deg): 90.00 90.00 90.00
Space group P4_2/m (No. 84)
Inequivalent atoms, fractional coordinates:
Ta (0.114, 0.803, 0.000)
Te (0.218, 0.412, 0.000)
H (0.029, 0.739, 0.500)

Principal peaks in the range 2θ = 10–80°, sorted by position:
2θ = 11.9°, rel. 33, (1 0 0); 2θ = 23.8°, rel. 16, (2 0 0); 2θ = 27.6°, rel. 31, (1 0 1); 2θ = 36.1°, rel. 17, (3 0 0); 2θ = 36.8°, rel. 100, (2 1 1); 2θ = 38.1°, rel. 48, (1 3 0); 2θ = 42.5°, rel. 22, (2 2 1); 2θ = 50.9°, rel. 20, (0 0 2); 2θ = 65.4°, rel. 20, (1 3 2); 2θ = 69.3°, rel. 15, (5 1 1)

=====

[3]
Diffraction record for TbSm3Pb4. The X-ray powder pattern is simulated, not measured: it uses a GGA-PBE-relaxed structure and copper Kα.

Cell and atoms:
a b c (Å): 11.257 6.500 6.501
angles (deg): 90.00 90.00 90.00
Space group Pmn2_1 (No. 31)
Inequivalent atoms, fractional coordinates:
Tb (0.000, 0.001, 0.000)
Sm (0.000, 0.500, 0.500)
Sm (0.250, 0.250, 0.250)
Pb (0.000, 0.000, 0.500)
Pb (0.000, 0.500, 0.000)
Pb (0.250, 0.250, 0.750)

Principal peaks in the range 2θ = 10–80°, sorted by position:
2θ = 19.3°, rel. 1, (0 1 1); 2θ = 20.9°, rel. 1, (1 1 1); 2θ = 25.0°, rel. 1, (2 1 1); 2θ = 31.8°, rel. 100, (4 0 0); 2θ = 39.2°, rel. 23, (0 2 2); 2θ = 44.8°, rel. 1, (5 1 1); 2θ = 51.3°, rel. 21, (4 2 2); 2θ = 56.6°, rel. 24, (6 2 0); 2θ = 66.4°, rel. 32, (8 0 0); 2θ = 79.9°, rel. 6, (8 2 2)